[1]
This entry pairs a crystal structure of CaTb2Dy2 with its computed PXRD pattern. Radiation: copper Kα. Structure: a cell relaxed with GGA-PBE.
Kinematic intensities with the Lorentz-polarization factor, no thermal factor.

Main lines, by angle (2θ = 10–90°):
two_theta, I_rel, (hkl)
10.25, 60, 0 2 0
30.42, 72, 1 1 1
30.55, 100, 1 5 0
32.41, 51, 2 0 0
32.72, 47, 0 4 1
33.87, 66, 1 3 1

Cell and atoms:
```
data_CaTb2Dy2
_chemical_formula_sum 'Ca2 Tb4 Dy4'
_symmetry_space_group_name_H-M 'C m m m'
_symmetry_Int_Tables_number 65
_symmetry_space_group_name_Hall '-C 2 2'
_cell_length_a 5.524
_cell_length_b 17.252
_cell_length_c 3.542
_cell_angle_alpha 90.00
_cell_angle_beta 90.00
_cell_angle_gamma 90.00
loop_
_atom_site_label
_atom_site_fract_x
_atom_site_fract_y
_atom_site_fract_z
Ca1 0.000 0.000 0.000
Tb1 0.000 0.381 0.500
Dy1 0.000 0.201 0.000
```

---

[2]
This entry pairs a crystal structure of Na4B5C3 with its computed PXRD pattern. Radiation: copper Kα. Structure: a cell relaxed with GGA-PBE.
Kinematic intensities with the Lorentz-polarization factor, no thermal factor.

Main lines, by angle (2θ = 10–90°):
two_theta, I_rel, (hkl)
36.21, 18, 1 0 0
42.18, 100, 1 0 8
42.57, 24, 0 0 16
65.12, 18, 1 1 0
77.65, 11, 1 0 24
80.96, 16, 1 1 16

Cell and atoms:
```
data_Na4B5C3
_chemical_formula_sum 'Na8 B10 C6'
_symmetry_space_group_name_H-M 'P 3 m 1'
_symmetry_Int_Tables_number 156
_cell_length_a 2.8647
_cell_length_b 2.8647
_cell_length_c 33.9790
_cell_angle_alpha 90.00
_cell_angle_beta 90.00
_cell_angle_gamma 120.00
loop_
_symmetry_equiv_pos_as_xyz
'x,y,z'
'-y,x-y,z'
'-x+y,-x,z'
'-y,-x,z'
'-x+y,y,z'
'x,x-y,z'
loop_
_atom_site_label
_atom_site_fract_x
_atom_site_fract_y
_atom_site_fract_z
Na1 0.0000 0.0000 0.0000
Na2 0.0000 0.0000 0.1235
Na3 0.0000 0.0000 0.2471
Na4 0.0000 0.0000 0.3708
Na5 0.0000 0.0000 0.4946
Na6 0.0000 0.0000 0.6189
Na7 0.0000 0.0000 0.7474
Na8 0.0000 0.0000 0.8758
B1 0.3333 0.6667 0.0618
B2 0.3333 0.6667 0.3089
B3 0.3333 0.6667 0.5564
B4 0.3333 0.6667 0.6829
B5 0.3333 0.6667 0.8119
B6 0.6667 0.3333 0.1853
B7 0.6667 0.3333 0.4326
B8 0.6667 0.3333 0.6829
B9 0.6667 0.3333 0.8120
B10 0.6667 0.3333 0.9383
C1 0.3333 0.6667 0.1853
C2 0.3333 0.6667 0.4326
C3 0.3333 0.6667 0.9384
C4 0.6667 0.3333 0.0618
C5 0.6667 0.3333 0.3089
C6 0.6667 0.3333 0.5563
```

---

[3]
This entry pairs a crystal structure of KNa2I3 with its computed PXRD pattern. Radiation: copper Kα. Structure: a cell relaxed with GGA-PBE.
Kinematic intensities with the Lorentz-polarization factor, no thermal factor.

Main lines, by angle (2θ = 10–90°):
two_theta, I_rel, (hkl)
22.42, 98, 1 0 3
25.27, 100, 1 1 0
27.25, 40, 0 0 6
36.04, 39, 2 0 0
37.51, 67, 1 1 6
45.77, 37, 2 0 6

Cell and atoms:
```
data_KNa2I3
_chemical_formula_sum 'K2 Na4 I6'
_symmetry_space_group_name_H-M 'I 4/m m m'
_symmetry_Int_Tables_number 139
_symmetry_space_group_name_Hall '-I 4 2'
_cell_length_a 4.984
_cell_length_b 4.984
_cell_length_c 19.633
_cell_angle_alpha 90.00
_cell_angle_beta 90.00
_cell_angle_gamma 90.00
loop_
_atom_site_label
_atom_site_fract_x
_atom_site_fract_y
_atom_site_fract_z
K1 0.000 0.000 0.000
Na1 0.000 0.000 0.332
I1 0.000 0.000 0.174
I2 0.000 0.000 0.500
```

---

[4]
This entry pairs a crystal structure of Ge5Te4Au with its computed PXRD pattern. Radiation: copper Kα. Structure: a cell relaxed with GGA-PBE.
Kinematic intensities with the Lorentz-polarization factor, no thermal factor.

Main lines, by angle (2θ = 10–90°):
two_theta, I_rel, (hkl)
30.07, 100, 1 -1 0
30.35, 48, 0 0 5
42.00, 18, 1 1 -4
42.52, 34, 1 -1 5
43.55, 19, 2 0 1
43.99, 17, -1 1 5

Cell and atoms:
```
data_Ge5Te4Au
_chemical_formula_sum 'Ge5 Te4 Au1'
_symmetry_space_group_name_H-M 'P 1'
_symmetry_Int_Tables_number 1
_cell_length_a 4.157
_cell_length_b 4.259
_cell_length_c 14.889
_cell_angle_alpha 85.34
_cell_angle_beta 82.84
_cell_angle_gamma 89.96
loop_
_symmetry_equiv_pos_as_xyz
'x,y,z'
loop_
_atom_site_label
_atom_site_fract_x
_atom_site_fract_y
_atom_site_fract_z
Ge1 0.000 0.000 0.000
Ge2 0.186 0.136 0.589
Ge3 0.393 0.322 0.185
Ge4 0.595 0.559 0.784
Ge5 0.796 0.755 0.361
Te1 0.087 0.008 0.797
Te2 0.277 0.178 0.395
Te3 0.500 0.444 0.993
Te4 0.685 0.589 0.590
Au1 0.902 0.880 0.184
```